Entry 1:
Diffraction record for Li2Ta3S6. The powder XRD pattern is calculated, not measured: it uses a cell relaxed with PBE and Cu Kα, 1.54184 Å.
Neutral-atom scattering factors, no anomalous dispersion.

Largest 10 diffraction maxima, low angle first, 2θ = 10–90°:
d (Å), I_rel, index
6.513, 1000, 0 0 2
2.905, 299, 1 1 0
2.653, 641, 1 1 2
2.168, 606, 1 1 4
1.739, 201, 1 1 6
1.677, 162, 3 0 0
1.624, 158, 3 0 2
1.417, 95, 2 2 2
1.327, 182, 2 2 4
1.168, 99, 3 0 8

Lattice parameters (Å, degrees): 5.8091 5.8091 13.0252 90.00 90.00 120.00
Space group P6_322 (No. 182)
Asymmetric unit:
Li 0.0000 0.0000 0.2500 x2
Li 0.3333 0.6667 0.2500 x2
Ta 0.0000 0.0000 0.0000 x2
Ta 0.3333 0.6667 0.5006 x4
S 0.0009 0.3345 0.8798 x12

---

Entry 2:
Diffraction record for Na4TlF2. The powder XRD pattern is calculated, not measured: it uses a cell relaxed with PBE and Cu Kα, 1.54184 Å.
Neutral-atom scattering factors, no anomalous dispersion.

Largest 10 diffraction maxima, low angle first, 2θ = 10–90°:
d (Å), I_rel, index
6.698, 643, 0 0 2
5.282, 1000, 1 0 1
4.064, 555, 1 1 0
3.526, 574, 1 0 3
2.874, 456, 2 0 0
2.641, 274, 2 0 2
2.524, 332, 2 1 1
2.428, 327, 1 0 5
2.228, 365, 2 1 3
1.855, 287, 2 1 5

Lattice parameters (Å, degrees): 5.7471 5.7471 13.3964 90.00 90.00 90.00
Space group I4/mmm (No. 139)
Asymmetric unit:
Na 0.0000 0.0000 0.2378 x4
Na 0.0000 0.5000 0.0000 x4
Tl 0.0000 0.0000 0.0000 x2
F 0.0000 0.0000 0.3914 x4

---

Entry 3:
Diffraction record for PmPrTeN. The powder XRD pattern is calculated, not measured: it uses a cell relaxed with PBE and Cu Kα, 1.54184 Å.
Neutral-atom scattering factors, no anomalous dispersion.

Largest 10 diffraction maxima, low angle first, 2θ = 10–90°:
d (Å), I_rel, index
2.957, 1000, 0 1 3
2.940, 979, 1 0 3
2.769, 829, 1 1 0
2.240, 175, 0 0 6
1.967, 175, 0 2 0
1.948, 169, 2 0 0
1.742, 373, 1 1 6
1.635, 342, 1 2 3
1.627, 338, 2 1 3
1.396, 116, 1 0 9

Lattice parameters (Å, degrees): 3.8964 3.9345 13.4427 90.00 90.00 90.00
Space group Imm2 (No. 44)
Asymmetric unit:
Pm 0.0000 0.0000 0.0000 x2
Pr 0.0000 0.0000 0.6983 x2
Te 0.0000 0.0000 0.3520 x2
N 0.0000 0.5000 0.5976 x2

---

Repeat the first record exactly.
Diffraction record for Li2Ta3S6. The powder XRD pattern is calculated, not measured: it uses a cell relaxed with PBE and Cu Kα, 1.54184 Å.
Neutral-atom scattering factors, no anomalous dispersion.

Largest 10 diffraction maxima, low angle first, 2θ = 10–90°:
d (Å), I_rel, index
6.513, 1000, 0 0 2
2.905, 299, 1 1 0
2.653, 641, 1 1 2
2.168, 606, 1 1 4
1.739, 201, 1 1 6
1.677, 162, 3 0 0
1.624, 158, 3 0 2
1.417, 95, 2 2 2
1.327, 182, 2 2 4
1.168, 99, 3 0 8

Lattice parameters (Å, degrees): 5.8091 5.8091 13.0252 90.00 90.00 120.00
Space group P6_322 (No. 182)
Asymmetric unit:
Li 0.0000 0.0000 0.2500 x2
Li 0.3333 0.6667 0.2500 x2
Ta 0.0000 0.0000 0.0000 x2
Ta 0.3333 0.6667 0.5006 x4
S 0.0009 0.3345 0.8798 x12

---

Which formula does entry 3 have?
PmPrTeN